Record 1
# VSnSb
Calculated XRD peak list, λ = 1.5418 Å (Cu Kα). Input: a cell relaxed with GGA-PBE.
Lines closer than 0.1° are merged.

Principal peaks in the range 10° ≤ 2θ ≤ 80°, in order of rising 2θ:
hkl, Position (°2θ), I_rel
2 0 0, 32.99, 29
1 1 3, 33.82, 100
1 3 1, 34.64, 97
2 0 2, 38.04, 17
2 2 0, 38.41, 15
0 2 4, 42.26, 28
2 2 2, 42.91, 32
0 4 2, 43.28, 23
3 1 3, 59.45, 20
3 3 1, 60.00, 33
2 4 4, 65.59, 20
2 0 6, 67.78, 15

```
data_VSnSb
_space_group_name_H-M_alt 'F m m m'
_space_group_IT_number 69
_space_group_name_Hall '-F 2 2'
_cell_length_a 5.4309
_cell_length_b 9.2809
_cell_length_c 9.6390
_cell_angle_alpha 90.00
_cell_angle_beta 90.00
_cell_angle_gamma 90.00
loop_
_atom_site_label
_atom_site_type_symbol
_atom_site_fract_x
_atom_site_fract_y
_atom_site_fract_z
V1 V 0.2500 0.2500 0.2500
Sn1 Sn 0.0000 0.1587 0.0000
Sb1 Sb 0.0000 0.0000 0.3445
```



Record 2
# Tb6Pr2Th
Calculated XRD peak list, λ = 1.5418 Å (Cu Kα). Input: a cell relaxed with GGA-PBE.
Lines closer than 0.1° are merged.

Principal peaks in the range 10° ≤ 2θ ≤ 80°, in order of rising 2θ:
hkl, Position (°2θ), I_rel
0 0 1, 25.30, 5
2 0 1, 31.24, 93
3 3 0, 31.47, 100
3 3 1, 40.80, 9
4 0 1, 44.93, 34
0 0 2, 51.96, 8
5 3 1, 55.88, 36
6 0 0, 56.03, 20
3 3 2, 62.02, 29
6 6 0, 65.69, 12
7 3 1, 74.53, 15
6 0 2, 79.92, 14

```
data_Tb6Pr2Th
_space_group_name_H-M_alt 'C m m m'
_space_group_IT_number 65
_space_group_name_Hall '-C 2 2'
_cell_length_a 9.8404
_cell_length_b 17.0698
_cell_length_c 3.5197
_cell_angle_alpha 90.00
_cell_angle_beta 90.00
_cell_angle_gamma 90.00
loop_
_atom_site_label
_atom_site_type_symbol
_atom_site_fract_x
_atom_site_fract_y
_atom_site_fract_z
Tb1 Tb 0.1651 0.1651 0.0000
Tb2 Tb 0.1698 0.5000 0.0000
Pr1 Pr 0.0000 0.3332 0.5000
Th1 Th 0.0000 0.0000 0.5000
```



Record 3
# Y3Bi4Au3
Calculated XRD peak list, λ = 1.5418 Å (Cu Kα). Input: a cell relaxed with GGA-PBE.
Lines closer than 0.1° are merged.

Principal peaks in the range 10° ≤ 2θ ≤ 80°, in order of rising 2θ:
hkl, Position (°2θ), I_rel
2 1 1, 21.37, 31
3 2 1, 32.90, 100
4 2 0, 39.57, 24
4 2 2, 43.53, 17
5 1 0, 45.40, 28
5 2 1, 48.98, 13
6 2 0, 57.20, 9
6 3 1, 61.77, 12
4 4 4, 63.25, 8
7 1 0, 64.71, 9
5 5 2, 67.58, 9
6 4 2, 69.00, 8

```
data_Y3Bi4Au3
_space_group_name_H-M_alt 'I -4 3 d'
_space_group_IT_number 220
_space_group_name_Hall 'I -4bd 2c 3'
_cell_length_a 10.1859
_cell_length_b 10.1859
_cell_length_c 10.1859
_cell_angle_alpha 90.00
_cell_angle_beta 90.00
_cell_angle_gamma 90.00
loop_
_atom_site_label
_atom_site_type_symbol
_atom_site_fract_x
_atom_site_fract_y
_atom_site_fract_z
Y1 Y 0.0000 0.2500 0.3750
Bi1 Bi 0.0919 0.0919 0.0919
Au1 Au 0.0000 0.2500 0.8750
```



Record 4
# PrAl4Ni2
Calculated XRD peak list, λ = 1.5418 Å (Cu Kα). Input: a cell relaxed with GGA-PBE.
Lines closer than 0.1° are merged.

Principal peaks in the range 10° ≤ 2θ ≤ 80°, in order of rising 2θ:
hkl, Position (°2θ), I_rel
3 0 1, 20.27, 31
2 1 0, 24.21, 33
0 0 2, 25.70, 27
5 0 1, 29.32, 45
3 1 1, 29.93, 97
4 0 2, 33.39, 27
2 1 2, 35.60, 100
5 1 1, 36.83, 21
6 1 0, 38.77, 59
1 0 3, 39.37, 33
0 2 0, 44.41, 43
5 1 3, 52.94, 21

```
data_PrAl4Ni2
_space_group_name_H-M_alt 'P n m a'
_space_group_IT_number 62
_space_group_name_Hall '-P 2ac 2n'
_cell_length_a 16.9514
_cell_length_b 4.0802
_cell_length_c 6.9334
_cell_angle_alpha 90.00
_cell_angle_beta 90.00
_cell_angle_gamma 90.00
loop_
_atom_site_label
_atom_site_type_symbol
_atom_site_fract_x
_atom_site_fract_y
_atom_site_fract_z
Pr1 Pr 0.1187 0.2500 0.0183
Al1 Al 0.0367 0.7500 0.7218
Al2 Al 0.0987 0.2500 0.5069
Al3 Al 0.1894 0.7500 0.3459
Al4 Al 0.2041 0.7500 0.7302
Ni1 Ni 0.0350 0.7500 0.3568
Ni2 Ni 0.2364 0.2500 0.5445
```



Record 5
# Tb5GaRu2
Calculated XRD peak list, λ = 1.5418 Å (Cu Kα). Input: a cell relaxed with GGA-PBE.
Lines closer than 0.1° are merged.

Principal peaks in the range 10° ≤ 2θ ≤ 80°, in order of rising 2θ:
hkl, Position (°2θ), I_rel
0 0 2, 13.31, 12
0 0 4, 26.75, 15
1 1 4, 31.52, 16
2 1 3, 32.93, 100
2 0 4, 35.68, 25
3 1 0, 36.92, 48
2 1 5, 42.96, 18
4 2 0, 53.22, 21
0 0 8, 55.23, 14
3 3 4, 57.89, 13
3 1 8, 68.31, 13
5 2 3, 69.02, 18

```
data_Tb5GaRu2
_space_group_name_H-M_alt 'I 4/m c m'
_space_group_IT_number 140
_space_group_name_Hall '-I 4 2c'
_cell_length_a 7.6995
_cell_length_b 7.6995
_cell_length_c 13.3022
_cell_angle_alpha 90.00
_cell_angle_beta 90.00
_cell_angle_gamma 90.00
loop_
_atom_site_label
_atom_site_type_symbol
_atom_site_fract_x
_atom_site_fract_y
_atom_site_fract_z
Tb1 Tb 0.0000 0.0000 0.0000
Tb2 Tb 0.1615 0.3385 0.1370
Ga1 Ga 0.0000 0.0000 0.2500
Ru1 Ru 0.1401 0.3599 0.5000
```



Record 6
# Tb2ThPd3
Calculated XRD peak list, λ = 1.5418 Å (Cu Kα). Input: a cell relaxed with GGA-PBE.
Lines closer than 0.1° are merged.

Principal peaks in the range 10° ≤ 2θ ≤ 80°, in order of rising 2θ:
hkl, Position (°2θ), I_rel
0 0 1, 24.87, 3
1 3 0, 24.99, 6
1 3 1, 35.56, 100
2 0 0, 35.68, 20
2 0 1, 43.95, 3
0 0 2, 51.03, 7
2 6 0, 51.28, 14
2 0 2, 63.79, 15
1 9 1, 63.89, 14
3 3 1, 64.01, 14
2 6 2, 75.27, 11
4 0 0, 75.58, 2

```
data_Tb2ThPd3
_space_group_name_H-M_alt 'P m m n'
_space_group_IT_number 59
_cell_length_a 5.0324
_cell_length_b 15.1373
_cell_length_c 3.5797
_cell_angle_alpha 90.00
_cell_angle_beta 90.00
_cell_angle_gamma 90.00
loop_
_space_group_symop_operation_xyz
'x,y,z'
'-x,-y,-z'
'-x+1/2,-y+1/2,z'
'x+1/2,y+1/2,-z'
'x+1/2,-y,-z'
'-x+1/2,y,z'
'-x,y+1/2,-z'
'x,-y+1/2,z'
loop_
_atom_site_label
_atom_site_type_symbol
_atom_site_fract_x
_atom_site_fract_y
_atom_site_fract_z
Tb1 Tb 0.2500 0.0785 0.0000
Th1 Th 0.2500 0.7500 0.0011
Pd1 Pd 0.2500 0.2500 0.4986
Pd2 Pd 0.2500 0.5865 0.5001
```



Record 7
# Cs3ErTh3Se8
Calculated XRD peak list, λ = 1.5418 Å (Cu Kα). Input: a cell relaxed with GGA-PBE.
Lines closer than 0.1° are merged.

Principal peaks in the range 10° ≤ 2θ ≤ 80°, in order of rising 2θ:
hkl, Position (°2θ), I_rel
0 0 3, 10.25, 47
0 0 6, 20.58, 13
2 0 2, 25.14, 15
0 2 4, 27.87, 100
0 2 7, 34.36, 16
2 0 8, 36.98, 36
2 2 0, 42.52, 35
0 2 10, 42.69, 11
4 0 4, 51.61, 18
2 2 12, 61.20, 11
2 4 4, 69.02, 15
4 2 8, 74.17, 11

```
data_Cs3ErTh3Se8
_space_group_name_H-M_alt 'R -3 m'
_space_group_IT_number 166
_space_group_name_Hall '-R 3 2"'
_cell_length_a 8.5039
_cell_length_b 8.5039
_cell_length_c 25.8939
_cell_angle_alpha 90.00
_cell_angle_beta 90.00
_cell_angle_gamma 120.00
loop_
_atom_site_label
_atom_site_type_symbol
_atom_site_fract_x
_atom_site_fract_y
_atom_site_fract_z
Cs1 Cs 0.0000 0.5000 0.0000
Er1 Er 0.0000 0.0000 0.5000
Th1 Th 0.0000 0.5000 0.5000
Se1 Se 0.0000 0.0000 0.2323
Se2 Se 0.0063 0.5032 0.2288
```



Record 8
# Hf2Sc2Tl3
Calculated XRD peak list, λ = 1.5418 Å (Cu Kα). Input: a cell relaxed with GGA-PBE.
Lines closer than 0.1° are merged.

Principal peaks in the range 10° ≤ 2θ ≤ 80°, in order of rising 2θ:
hkl, Position (°2θ), I_rel
0 0 6, 19.15, 6
0 0 8, 25.62, 5
1 0 1, 26.31, 16
1 0 7, 34.65, 100
1 1 0, 37.26, 41
0 0 14, 45.70, 16
2 0 0, 53.71, 14
1 1 14, 60.36, 22
2 1 7, 65.51, 32
2 0 14, 73.10, 11
1 0 21, 77.28, 10
2 2 0, 79.41, 5

```
data_Hf2Sc2Tl3
_space_group_name_H-M_alt 'I 4/m m m'
_space_group_IT_number 139
_space_group_name_Hall '-I 4 2'
_cell_length_a 3.4132
_cell_length_b 3.4132
_cell_length_c 27.8109
_cell_angle_alpha 90.00
_cell_angle_beta 90.00
_cell_angle_gamma 90.00
loop_
_atom_site_label
_atom_site_type_symbol
_atom_site_fract_x
_atom_site_fract_y
_atom_site_fract_z
Hf1 Hf 0.0000 0.0000 0.2159
Sc1 Sc 0.0000 0.0000 0.0723
Tl1 Tl 0.0000 0.0000 0.3579
Tl2 Tl 0.0000 0.0000 0.5000
```